Pr3Ge13Pt4: simulated powder X-ray diffraction pattern (Cu Kα), based on the GGA-PBE geometry in Alexandria.
Neutral-atom scattering factors, no anomalous dispersion.

Peak list (10 most intense, 10 to 80 degrees two-theta, in order of rising 2θ)
2θ = 19.2°, rel. 78; 2θ = 27.2°, rel. 31; 2θ = 33.7°, rel. 97; 2θ = 35.0°, rel. 69; 2θ = 35.1°, rel. 61; 2θ = 36.4°, rel. 32; 2θ = 39.0°, rel. 100; 2θ = 43.8°, rel. 39; 2θ = 48.3°, rel. 80; 2θ = 67.3°, rel. 32

Cell and atoms:
Lattice parameters (Å, degrees): 9.239 9.239 9.234 90.25 90.25 89.75
Sites, in units of the cell vectors:
1 Pr 0.000 0.000 0.000
2 Pr 0.000 0.000 0.500
3 Pr 0.248 0.500 0.249
4 Pr 0.500 0.248 0.749
5 Pr 0.500 0.749 0.749
6 Pr 0.749 0.500 0.249
7 Ge 0.000 0.613 0.001
8 Ge 0.001 0.335 0.091
9 Ge 0.001 0.622 0.471
10 Ge 0.004 0.504 0.745
11 Ge 0.112 0.248 0.748
12 Ge 0.123 0.780 0.748
13 Ge 0.157 0.834 0.248
14 Ge 0.248 0.112 0.248
15 Ge 0.279 0.501 0.626
16 Ge 0.326 0.998 0.893
17 Ge 0.335 0.001 0.591
18 Ge 0.355 0.498 0.922
19 Ge 0.498 0.355 0.422
20 Ge 0.500 0.748 0.137
21 Ge 0.501 0.279 0.126
22 Ge 0.501 0.657 0.415
23 Ge 0.504 0.004 0.245
24 Ge 0.613 0.000 0.501
25 Ge 0.622 0.001 0.971
26 Ge 0.657 0.501 0.915
27 Ge 0.748 0.500 0.637
28 Ge 0.780 0.123 0.248
29 Ge 0.827 0.855 0.751
30 Ge 0.834 0.157 0.748
31 Ge 0.855 0.827 0.251
32 Ge 0.998 0.326 0.393
33 Pt 0.246 0.249 0.496
34 Pt 0.249 0.246 0.996
35 Pt 0.252 0.746 0.000
36 Pt 0.252 0.751 0.497
37 Pt 0.746 0.252 0.500
38 Pt 0.749 0.752 0.503
39 Pt 0.751 0.252 0.997
40 Pt 0.752 0.749 0.003

---

Pr3Ge3Pt8: simulated powder X-ray diffraction pattern (Cu Kα), based on the GGA-PBE geometry in Alexandria.
Neutral-atom scattering factors, no anomalous dispersion.

Peak list (10 most intense, 10 to 80 degrees two-theta, in order of rising 2θ)
2θ = 30.7°, rel. 28; 2θ = 34.4°, rel. 100; 2θ = 34.6°, rel. 90; 2θ = 36.3°, rel. 21; 2θ = 38.6°, rel. 35; 2θ = 38.8°, rel. 41; 2θ = 39.4°, rel. 18; 2θ = 40.7°, rel. 69; 2θ = 45.0°, rel. 22; 2θ = 70.0°, rel. 20

Cell and atoms:
Lattice parameters (Å, degrees): 8.453 8.453 8.952 121.44 121.44 30.44
Sites, in units of the cell vectors:
1 Pr 0.000 0.000 0.000
2 Pr 0.293 0.293 0.326
3 Pr 0.707 0.707 0.674
4 Ge 0.000 0.000 0.500
5 Ge 0.328 0.328 0.994
6 Ge 0.672 0.672 0.006
7 Pt 0.115 0.115 0.395
8 Pt 0.137 0.137 0.844
9 Pt 0.351 0.351 0.745
10 Pt 0.494 0.494 0.311
11 Pt 0.506 0.506 0.689
12 Pt 0.649 0.649 0.255
13 Pt 0.863 0.863 0.156
14 Pt 0.885 0.885 0.605

---

PrGe3Pt2: simulated powder X-ray diffraction pattern (Cu Kα), based on the GGA-PBE geometry in Alexandria.
Neutral-atom scattering factors, no anomalous dispersion.

Peak list (10 most intense, 10 to 80 degrees two-theta, in order of rising 2θ)
2θ = 27.0°, rel. 31; 2θ = 29.6°, rel. 45; 2θ = 33.6°, rel. 100; 2θ = 33.9°, rel. 57; 2θ = 34.2°, rel. 54; 2θ = 34.8°, rel. 49; 2θ = 41.3°, rel. 78; 2θ = 43.3°, rel. 51; 2θ = 45.1°, rel. 30; 2θ = 54.5°, rel. 30

Cell and atoms:
Lattice parameters (Å, degrees): 8.513 8.513 10.109 104.86 104.86 29.74
Sites, in units of the cell vectors:
1 Pr 0.000 0.000 0.000
2 Pr 0.159 0.159 0.708
3 Pr 0.841 0.841 0.292
4 Ge 0.043 0.043 0.359
5 Ge 0.212 0.212 0.369
6 Ge 0.343 0.343 0.063
7 Ge 0.366 0.366 0.814
8 Ge 0.500 0.500 0.500
9 Ge 0.634 0.634 0.186
10 Ge 0.657 0.657 0.937
11 Ge 0.788 0.788 0.631
12 Ge 0.957 0.957 0.641
13 Pt 0.195 0.195 0.102
14 Pt 0.350 0.350 0.543
15 Pt 0.487 0.487 0.224
16 Pt 0.513 0.513 0.776
17 Pt 0.650 0.650 0.457
18 Pt 0.805 0.805 0.898

---

PrGePt4: simulated powder X-ray diffraction pattern (Cu Kα), based on the GGA-PBE geometry in Alexandria.
Neutral-atom scattering factors, no anomalous dispersion.

Peak list (10 most intense, 10 to 80 degrees two-theta, in order of rising 2θ)
2θ = 17.0°, rel. 12; 2θ = 34.6°, rel. 100; 2θ = 36.2°, rel. 71; 2θ = 38.5°, rel. 13; 2θ = 43.1°, rel. 52; 2θ = 45.2°, rel. 31; 2θ = 45.6°, rel. 16; 2θ = 64.2°, rel. 32; 2θ = 65.6°, rel. 14; 2θ = 75.4°, rel. 14

Cell and atoms:
Lattice parameters (Å, degrees): 8.157 8.157 6.941 90.00 90.00 151.52
Sites, in units of the cell vectors:
1 Pr 0.102 0.898 0.750
2 Pr 0.898 0.102 0.250
3 Ge 0.240 0.760 0.250
4 Ge 0.760 0.240 0.750
5 Pt 0.081 0.919 0.250
6 Pt 0.321 0.679 0.549
7 Pt 0.321 0.679 0.951
8 Pt 0.500 0.500 0.000
9 Pt 0.500 0.500 0.500
10 Pt 0.679 0.321 0.049
11 Pt 0.679 0.321 0.451
12 Pt 0.919 0.081 0.750

---

Pr2Ge7Pt12: simulated powder X-ray diffraction pattern (Cu Kα), based on the GGA-PBE geometry in Alexandria.
Neutral-atom scattering factors, no anomalous dispersion.

Peak list (10 most intense, 10 to 80 degrees two-theta, in order of rising 2θ)
2θ = 26.7°, rel. 8; 2θ = 34.7°, rel. 100; 2θ = 43.1°, rel. 19; 2θ = 44.5°, rel. 21; 2θ = 44.7°, rel. 15; 2θ = 47.1°, rel. 18; 2θ = 64.9°, rel. 10; 2θ = 66.8°, rel. 12; 2θ = 75.6°, rel. 11; 2θ = 79.4°, rel. 10

Cell and atoms:
Lattice parameters (Å, degrees): 10.209 10.209 4.070 90.00 90.00 120.00
Sites, in units of the cell vectors:
1 Pr 0.000 0.000 0.000
2 Pr 0.333 0.667 0.500
3 Ge 0.060 0.604 0.000
4 Ge 0.261 0.031 0.500
5 Ge 0.396 0.456 0.000
6 Ge 0.544 0.940 0.000
7 Ge 0.667 0.333 0.000
8 Ge 0.770 0.739 0.500
9 Ge 0.969 0.230 0.500
10 Pt 0.035 0.772 0.500
11 Pt 0.129 0.401 0.000
12 Pt 0.228 0.263 0.500
13 Pt 0.271 0.871 0.000
14 Pt 0.390 0.203 0.000
15 Pt 0.534 0.099 0.500
16 Pt 0.564 0.466 0.500
17 Pt 0.599 0.729 0.000
18 Pt 0.737 0.965 0.500
19 Pt 0.797 0.188 0.000
20 Pt 0.812 0.610 0.000
21 Pt 0.901 0.436 0.500

---

PrGe2Pt4: simulated powder X-ray diffraction pattern (Cu Kα), based on the GGA-PBE geometry in Alexandria.
Neutral-atom scattering factors, no anomalous dispersion.

Peak list (10 most intense, 10 to 80 degrees two-theta, in order of rising 2θ)
2θ = 24.0°, rel. 23; 2θ = 24.8°, rel. 14; 2θ = 32.6°, rel. 30; 2θ = 35.8°, rel. 26; 2θ = 36.1°, rel. 50; 2θ = 36.7°, rel. 100; 2θ = 39.1°, rel. 15; 2θ = 42.3°, rel. 37; 2θ = 43.4°, rel. 52; 2θ = 44.4°, rel. 51

Cell and atoms:
Lattice parameters (Å, degrees): 16.721 4.082 7.597 90.00 90.00 90.00
Sites, in units of the cell vectors:
1 Pr 0.151 0.250 0.076
2 Pr 0.349 0.750 0.576
3 Pr 0.651 0.250 0.424
4 Pr 0.849 0.750 0.924
5 Ge 0.016 0.750 0.253
6 Ge 0.181 0.250 0.621
7 Ge 0.319 0.750 0.121
8 Ge 0.484 0.250 0.753
9 Ge 0.516 0.750 0.247
10 Ge 0.681 0.250 0.879
11 Ge 0.819 0.750 0.379
12 Ge 0.984 0.250 0.747
13 Pt 0.041 0.750 0.902
14 Pt 0.053 0.250 0.438
15 Pt 0.172 0.750 0.403
16 Pt 0.213 0.750 0.818
17 Pt 0.287 0.250 0.318
18 Pt 0.328 0.250 0.903
19 Pt 0.447 0.750 0.938
20 Pt 0.459 0.250 0.402
21 Pt 0.541 0.750 0.598
22 Pt 0.553 0.250 0.062
23 Pt 0.672 0.750 0.097
24 Pt 0.713 0.750 0.682
25 Pt 0.787 0.250 0.182
26 Pt 0.828 0.250 0.597
27 Pt 0.947 0.750 0.562
28 Pt 0.959 0.250 0.098